Record 1
Calculated X-ray powder pattern
Compound: Ce5AlGe3
Radiation: Cu Kα X-rays
Structure: the PBE geometry in Alexandria
No peak broadening, texture or thermal motion is included.

Top 10 peaks for 5° ≤ 2θ ≤ 70°, in order of rising 2θ:
2θ = 22.75°, rel. 10
2θ = 24.36°, rel. 15
2θ = 30.25°, rel. 10
2θ = 33.57°, rel. 27
2θ = 34.42°, rel. 100
2θ = 35.01°, rel. 98
2θ = 49.91°, rel. 32
2θ = 61.66°, rel. 12
2θ = 62.04°, rel. 25
2θ = 68.51°, rel. 11

Structure:
Lattice parameters (Å, degrees): 9.0261 9.0261 6.2280 90.00 90.00 120.00
Space group P6_3/mcm (No. 193)
Symmetry-distinct sites (fractional):
Ce1 0.0000 0.2935 0.2500 (multiplicity 6)
Ce2 0.3333 0.6667 0.0000 (multiplicity 4)
Al1 0.0000 0.0000 0.0000 (multiplicity 2)
Ge1 0.0000 0.3626 0.7500 (multiplicity 6)

Record 2
Calculated X-ray powder pattern
Compound: CeAl2GeH2
Radiation: Cu Kα X-rays
Structure: the PBE geometry in Alexandria
No peak broadening, texture or thermal motion is included.

Top 10 peaks for 5° ≤ 2θ ≤ 70°, in order of rising 2θ:
2θ = 17.03°, rel. 57
2θ = 22.94°, rel. 31
2θ = 23.21°, rel. 25
2θ = 30.27°, rel. 26
2θ = 30.70°, rel. 26
2θ = 33.39°, rel. 33
2θ = 33.92°, rel. 32
2θ = 34.59°, rel. 36
2θ = 35.30°, rel. 100
2θ = 43.66°, rel. 52

Structure:
Lattice parameters (Å, degrees): 5.906 5.824 5.934 90.00 118.59 90.00
Space group P2_1/m (No. 11)
Symmetry-distinct sites (fractional):
Ce1 0.235 0.250 0.478 (multiplicity 2)
Al1 0.258 0.510 0.984 (multiplicity 4)
Ge1 0.166 0.750 0.318 (multiplicity 2)
H1 0.365 0.250 0.185 (multiplicity 2)
H2 0.453 0.250 0.902 (multiplicity 2)

Record 3
Calculated X-ray powder pattern
Compound: CeMg2AlGe2
Radiation: Cu Kα X-rays
Structure: the PBE geometry in Alexandria
No peak broadening, texture or thermal motion is included.

Top 10 peaks for 5° ≤ 2θ ≤ 70°, in order of rising 2θ:
2θ = 10.52°, rel. 70
2θ = 24.64°, rel. 30
2θ = 26.60°, rel. 30
2θ = 32.46°, rel. 50
2θ = 34.42°, rel. 20
2θ = 34.64°, rel. 100
2θ = 38.42°, rel. 31
2θ = 40.57°, rel. 26
2θ = 42.34°, rel. 32
2θ = 44.08°, rel. 22

Structure:
Lattice parameters (Å, degrees): 4.269 8.409 7.064 90.00 90.00 90.00
Space group Pmc2_1 (No. 26)
Symmetry-distinct sites (fractional):
Ce1 0.000 0.065 0.000 (multiplicity 2)
Mg1 0.000 0.329 0.380 (multiplicity 2)
Mg2 0.500 0.420 0.055 (multiplicity 2)
Al1 0.500 0.194 0.678 (multiplicity 2)
Ge1 0.000 0.364 0.764 (multiplicity 2)
Ge2 0.500 0.134 0.295 (multiplicity 2)

Record 4
Calculated X-ray powder pattern
Compound: Ce2ThAl2Ge2
Radiation: Cu Kα X-rays
Structure: the PBE geometry in Alexandria
No peak broadening, texture or thermal motion is included.

Top 10 peaks for 5° ≤ 2θ ≤ 70°, in order of rising 2θ:
2θ = 23.66°, rel. 70
2θ = 32.34°, rel. 100
2θ = 34.65°, rel. 71
2θ = 41.21°, rel. 70
2θ = 48.08°, rel. 13
2θ = 48.17°, rel. 13
2θ = 53.33°, rel. 24
2θ = 54.90°, rel. 19
2θ = 65.20°, rel. 41
2θ = 69.54°, rel. 22

Structure:
Lattice parameters (Å, degrees): 4.3814 4.3814 28.3343 90.00 90.00 120.00
Space group R-3m (No. 166, hexagonal axes)
Symmetry-distinct sites (fractional):
Ce1 0.0000 0.0000 0.1384 (multiplicity 6)
Th1 0.0000 0.0000 0.0000 (multiplicity 3)
Al1 0.0000 0.0000 0.4072 (multiplicity 6)
Ge1 0.0000 0.0000 0.2625 (multiplicity 6)

Record 5
Calculated X-ray powder pattern
Compound: CeAlVGe2
Radiation: Cu Kα X-rays
Structure: the PBE geometry in Alexandria
No peak broadening, texture or thermal motion is included.

Top 10 peaks for 5° ≤ 2θ ≤ 70°, in order of rising 2θ:
2θ = 15.25°, rel. 20
2θ = 26.93°, rel. 28
2θ = 30.92°, rel. 26
2θ = 31.91°, rel. 32
2θ = 34.64°, rel. 32
2θ = 35.54°, rel. 25
2θ = 38.16°, rel. 100
2θ = 45.03°, rel. 38
2θ = 59.87°, rel. 19
2θ = 61.05°, rel. 26

Structure:
Lattice parameters (Å, degrees): 5.609 5.818 5.783 90.00 90.00 90.00
Space group Pmma (No. 51)
Symmetry-distinct sites (fractional):
Ce1 0.250 0.000 0.233 (multiplicity 2)
Al1 0.250 0.500 0.388 (multiplicity 2)
V1 0.000 0.500 0.000 (multiplicity 2)
Ge1 0.250 0.229 0.745 (multiplicity 4)

Record 6
Calculated X-ray powder pattern
Compound: CeAl3H12
Radiation: Cu Kα X-rays
Structure: the PBE geometry in Alexandria
No peak broadening, texture or thermal motion is included.

Top 10 peaks for 5° ≤ 2θ ≤ 70°, in order of rising 2θ:
2θ = 11.75°, rel. 80
2θ = 18.87°, rel. 93
2θ = 20.43°, rel. 47
2θ = 27.95°, rel. 100
2θ = 29.67°, rel. 27
2θ = 34.87°, rel. 71
2θ = 35.78°, rel. 26
2θ = 36.30°, rel. 22
2θ = 47.14°, rel. 26
2θ = 55.33°, rel. 28

Structure:
Lattice parameters (Å, degrees): 8.6939 8.6939 6.0214 90.00 90.00 120.00
Space group P6_3/m (No. 176)
Symmetry-distinct sites (fractional):
Ce1 0.3333 0.6667 0.2500 (multiplicity 2)
Al1 0.0925 0.7135 0.7500 (multiplicity 6)
H1 0.0221 0.1903 0.2500 (multiplicity 6)
H2 0.0328 0.5055 0.2500 (multiplicity 6)
H3 0.2266 0.7618 0.5365 (multiplicity 12)